Entry 1:
Starting from a GGA-PBE-relaxed structure, the X-ray powder pattern of BaSiGe was computed for Cu Kα (weighted mean of Kα1 and Kα2).
Intensities are scaled so that the largest is 100.

a b c (Å): 6.899 6.899 6.899
angles (deg): 90.00 90.00 90.00
Space group P2_13 (No. 198)
One atom of each set of equivalent atoms:
Ba1 0.126 0.126 0.126
Si1 0.077 0.577 0.923
Ge1 0.172 0.328 0.672

Peak list (10 most intense, 10° ≤ 2θ ≤ 90°, by angle)
(hkl)	Position (°2θ)	d (Å)	Rel. int.
2 1 0	28.94	3.085	100
2 1 1	31.77	2.816	63
3 1 1	43.51	2.080	19
3 1 2	49.43	1.844	39
4 0 0	53.10	1.725	10
3 3 1	58.30	1.583	11
4 2 1	61.61	1.505	18
5 0 1	69.47	1.353	10
5 0 2	73.99	1.281	19
5 2 3	87.08	1.119	9

---

Entry 2:
Starting from a GGA-PBE-relaxed structure, the X-ray powder pattern of BaZn2Ge2 was computed for Cu Kα (weighted mean of Kα1 and Kα2).
Intensities are scaled so that the largest is 100.

a b c (Å): 4.580 4.580 10.699
angles (deg): 90.00 90.00 90.00
Space group I4/mmm (No. 139)
One atom of each set of equivalent atoms:
Ba1 0.000 0.000 0.000
Zn1 0.000 0.500 0.250
Ge1 0.000 0.000 0.376

Peak list (10 most intense, 10° ≤ 2θ ≤ 90°, by angle)
(hkl)	Position (°2θ)	d (Å)	Rel. int.
1 1 0	27.54	3.238	19
1 0 3	31.80	2.814	76
1 1 2	32.32	2.770	100
2 0 0	39.35	2.290	69
1 0 5	46.86	1.939	27
2 1 3	51.45	1.776	38
2 2 0	56.87	1.619	23
1 1 6	59.15	1.562	16
2 1 5	62.80	1.480	22
3 1 2	66.94	1.398	23

---

Entry 3:
Starting from a GGA-PBE-relaxed structure, the X-ray powder pattern of Ba4Zn11Ge12 was computed for Cu Kα (weighted mean of Kα1 and Kα2).
Intensities are scaled so that the largest is 100.

a b c (Å): 10.887 10.887 10.887
angles (deg): 90.00 90.00 90.00
Space group Pm-3n (No. 223)
One atom of each set of equivalent atoms:
Ba1 0.000 0.000 0.000
Ba2 0.000 0.250 0.500
Zn1 0.000 0.500 0.250
Zn2 0.182 0.182 0.182
Ge1 0.000 0.314 0.114

Peak list (10 most intense, 10° ≤ 2θ ≤ 90°, by angle)
(hkl)	Position (°2θ)	d (Å)	Rel. int.
2 2 2	28.40	3.143	29
3 2 0	29.59	3.019	38
3 2 1	30.73	2.910	100
4 0 0	32.91	2.722	12
4 1 0	33.95	2.640	14
5 3 0	48.78	1.867	35
5 3 1	49.54	1.840	13
6 0 0	50.29	1.814	22
5 3 2	51.76	1.766	42
6 5 1	67.78	1.383	10

---

Entry 4:
Starting from a GGA-PBE-relaxed structure, the X-ray powder pattern of Ba2H3I was computed for Cu Kα (weighted mean of Kα1 and Kα2).
Intensities are scaled so that the largest is 100.

a b c (Å): 4.5368 4.5368 8.1680
angles (deg): 90.00 90.00 120.00
Space group P-3m1 (No. 164)
One atom of each set of equivalent atoms:
Ba1 0.3333 0.6667 0.3155
H1 0.0000 0.0000 0.5000
H2 0.3333 0.6667 0.6441
I1 0.0000 0.0000 0.0000

Peak list (10 most intense, 10° ≤ 2θ ≤ 90°, by angle)
(hkl)	Position (°2θ)	d (Å)	Rel. int.
0 1 1	25.15	3.541	100
1 0 2	31.60	2.831	56
0 0 3	32.90	2.723	16
1 1 0	39.74	2.268	31
2 0 1	47.61	1.910	18
0 1 4	50.36	1.812	14
0 2 2	51.63	1.770	14
1 1 3	52.51	1.743	25
1 2 1	63.69	1.461	15
2 1 2	67.06	1.396	13

---

Entry 5:
Starting from a GGA-PBE-relaxed structure, the X-ray powder pattern of BaHI was computed for Cu Kα (weighted mean of Kα1 and Kα2).
Intensities are scaled so that the largest is 100.

a b c (Å): 4.752 4.752 7.933
angles (deg): 90.00 90.00 90.00
Space group P4/nmm (No. 129, origin choice 2)
One atom of each set of equivalent atoms:
Ba1 0.250 0.250 0.171
H1 0.250 0.750 0.000
I1 0.250 0.250 0.662

Peak list (10 most intense, 10° ≤ 2θ ≤ 90°, by angle)
(hkl)	Position (°2θ)	d (Å)	Rel. int.
0 0 2	22.41	3.966	16
1 1 0	26.52	3.361	85
1 0 2	29.33	3.045	100
1 1 2	35.00	2.564	21
2 0 0	37.86	2.376	34
2 1 2	48.60	1.873	48
1 0 4	49.82	1.830	22
3 1 0	61.72	1.503	16
2 1 4	64.24	1.450	21
3 2 2	76.10	1.251	13

---

Entry 6:
Starting from a GGA-PBE-relaxed structure, the X-ray powder pattern of BaH9IO5 was computed for Cu Kα (weighted mean of Kα1 and Kα2).
Intensities are scaled so that the largest is 100.

a b c (Å): 6.373 8.173 8.173
angles (deg): 89.91 89.81 73.15
Space group P-1 (No. 2)
One atom of each set of equivalent atoms:
Ba1 0.172 0.223 0.467
H1 0.129 0.959 0.767
H2 0.155 0.683 0.210
H3 0.160 0.484 0.775
H4 0.296 0.822 0.657
H5 0.318 0.560 0.666
H6 0.322 0.550 0.328
H7 0.360 0.816 0.335
H8 0.469 0.333 0.208
H9 0.488 0.911 0.224
I1 0.167 0.214 0.999
O1 0.159 0.924 0.652
O2 0.185 0.512 0.661
O3 0.218 0.672 0.321
O4 0.439 0.906 0.338
O5 0.491 0.354 0.324

Peak list (10 most intense, 10° ≤ 2θ ≤ 90°, by angle)
(hkl)	Position (°2θ)	d (Å)	Rel. int.
1 0 0	14.52	6.099	45
1 1 0	15.62	5.672	100
1 -1 0	20.90	4.249	77
0 0 2	21.75	4.087	57
0 2 0	22.74	3.911	66
1 2 0	23.19	3.836	48
1 1 -2	26.90	3.314	80
-1 1 2	30.35	2.945	89
0 2 -2	31.67	2.825	68
1 2 2	31.99	2.798	47

---

Entry 7:
Starting from a GGA-PBE-relaxed structure, the X-ray powder pattern of BaH8I2O12 was computed for Cu Kα (weighted mean of Kα1 and Kα2).
Intensities are scaled so that the largest is 100.

a b c (Å): 12.956 8.079 9.612
angles (deg): 90.00 95.14 90.00
Space group C2/c (No. 15)
One atom of each set of equivalent atoms:
Ba1 0.000 0.065 0.250
H1 0.006 0.277 0.962
H2 0.117 0.191 0.996
H3 0.126 0.499 0.605
H4 0.200 0.251 0.781
I1 0.214 0.397 0.398
O1 0.042 0.170 0.973
O2 0.102 0.437 0.516
O3 0.118 0.377 0.248
O4 0.172 0.164 0.712
O5 0.191 0.151 0.431
O6 0.246 0.113 0.102

Peak list (10 most intense, 10° ≤ 2θ ≤ 90°, by angle)
(hkl)	Position (°2θ)	d (Å)	Rel. int.
2 0 0	13.72	6.452	28
1 1 -1	15.55	5.699	97
2 0 -2	22.11	4.020	43
1 1 2	23.17	3.838	100
3 1 0	23.43	3.797	57
2 2 1	28.09	3.176	55
3 1 -2	28.84	3.096	38
1 3 -1	35.14	2.554	42
2 0 4	41.40	2.181	23
4 2 -3	44.19	2.049	23

---

What did the fifth record say?
Starting from a GGA-PBE-relaxed structure, the X-ray powder pattern of BaHI was computed for Cu Kα (weighted mean of Kα1 and Kα2).
Intensities are scaled so that the largest is 100.

a b c (Å): 4.752 4.752 7.933
angles (deg): 90.00 90.00 90.00
Space group P4/nmm (No. 129, origin choice 2)
One atom of each set of equivalent atoms:
Ba1 0.250 0.250 0.171
H1 0.250 0.750 0.000
I1 0.250 0.250 0.662

Peak list (10 most intense, 10° ≤ 2θ ≤ 90°, by angle)
(hkl)	Position (°2θ)	d (Å)	Rel. int.
0 0 2	22.41	3.966	16
1 1 0	26.52	3.361	85
1 0 2	29.33	3.045	100
1 1 2	35.00	2.564	21
2 0 0	37.86	2.376	34
2 1 2	48.60	1.873	48
1 0 4	49.82	1.830	22
3 1 0	61.72	1.503	16
2 1 4	64.24	1.450	21
3 2 2	76.10	1.251	13